Computed X-ray powder pattern
Compound: TlCu2AsBr8
Radiation: CuKα
Structure: a cell relaxed with PBE
No peak broadening, texture or thermal motion is included.

Most intense lines, 10 to 90 degrees two-theta, sorted by position:
Position (°2θ), I (rel.), (hkl)
14.01, 42.0, 1 1 0
17.36, 36.8, 1 1 -1
25.08, 43.0, 1 1 -2
27.13, 37.8, 3 1 0
28.24, 41.5, 2 2 0
31.22, 100.0, 0 2 2
32.92, 49.9, 4 0 0
42.58, 33.7, 0 0 4
45.55, 53.8, 4 2 -2
46.44, 57.6, 4 2 2

Atomic structure:
Unit cell a=10.888 b=7.764 c=8.496 alpha=90.00 beta=91.56 gamma=90.00
Space group C2/m (No. 12)
One atom of each set of equivalent atoms:
1 Tl 0.000 0.000 0.000
2 Cu 0.158 0.500 0.732
3 As 0.000 0.000 0.500
4 Br 0.005 0.253 0.725
5 Br 0.243 0.000 0.513
6 Br 0.245 0.500 0.988